[1]
# TiTeN2O
Simulated X-ray powder pattern, Cu Kα X-rays. Input: the PBE geometry in Alexandria.

Structural model:
a = 4.102 Å, b = 4.102 Å, c = 3.714 Å
α = 90.00°, β = 90.00°, γ = 90.00°
Space group P4/mmm (No. 123)
Unique sites:
Ti 0.000 0.000 0.000 (multiplicity 1)
Te 0.500 0.500 0.500 (multiplicity 1)
N 0.000 0.500 0.000 (multiplicity 2)
O 0.000 0.000 0.500 (multiplicity 1)

Peak list (6 most intense, 5° ≤ 2θ ≤ 70°, low angle first)
2θ 30.83, I 62, hkl 1 1 0
2θ 32.52, I 100, hkl 1 0 1
2θ 39.42, I 35, hkl 1 1 1
2θ 44.16, I 39, hkl 2 0 0
2θ 55.90, I 42, hkl 2 1 1
2θ 59.07, I 19, hkl 1 1 2


[2]
# Th4N3O
Simulated X-ray powder pattern, Cu Kα X-rays. Input: the PBE geometry in Alexandria.

Structural model:
a = 5.151 Å, b = 5.151 Å, c = 5.151 Å
α = 90.00°, β = 90.00°, γ = 90.00°
Space group Pm-3m (No. 221)
Unique sites:
Th 0.000 0.000 0.000 (multiplicity 1)
Th 0.000 0.500 0.500 (multiplicity 3)
N 0.000 0.000 0.500 (multiplicity 3)
O 0.500 0.500 0.500 (multiplicity 1)

Peak list (5 most intense, 5° ≤ 2θ ≤ 70°, low angle first)
2θ 30.05, I 100, hkl 1 1 1
2θ 34.83, I 67, hkl 2 0 0
2θ 50.09, I 48, hkl 2 2 0
2θ 59.52, I 47, hkl 3 1 1
2θ 62.46, I 17, hkl 2 2 2